(1)
For Na4ReO4, a crystal structure in OQMD, relaxed with PBE gives the theoretical powder X-ray diffraction pattern in this record (Cu Kα (weighted mean of Kα1 and Kα2)).
No peak broadening, texture or thermal motion is included.

Structural model:
```
data_Na4ReO4
_symmetry_space_group_name_H-M 'P -1'
_symmetry_Int_Tables_number 2
_cell_length_a 5.6929
_cell_length_b 5.7217
_cell_length_c 8.8370
_cell_angle_alpha 85.87
_cell_angle_beta 72.87
_cell_angle_gamma 69.00
loop_
_symmetry_equiv_pos_as_xyz
'x,y,z'
'-x,-y,-z'
loop_
_atom_site_label
_atom_site_type_symbol
_atom_site_fract_x
_atom_site_fract_y
_atom_site_fract_z
Na1 Na 0.0445 0.2415 0.4262
Na2 Na 0.1792 0.7766 0.2082
Na3 Na 0.2490 0.2463 0.0050
Na4 Na 0.4561 0.2522 0.5939
Re1 Re 0.3709 0.7619 0.7813
O1 O 0.1885 0.6625 0.9651
O2 O 0.2152 0.9755 0.6279
O3 O 0.3276 0.4646 0.3759
O4 O 0.4273 0.0285 0.2079
```

Most intense lines, 2θ from 10° to 80°, in order of falling intensity:
| 2θ/deg | I_rel | (hkl) |
| --- | --- | --- |
| 19.35 | 100 | 0 1 -1 |
| 38.29 | 81 | 2 2 1 |
| 20.01 | 64 | 0 1 1 |
| 17.43 | 54 | 1 0 0 |
| 19.84 | 50 | 1 1 1 |
| 23.18 | 48 | 1 0 2 |
| 21.05 | 41 | 0 0 2 |
| 38.85 | 40 | -1 1 2 |
| 31.93 | 38 | 1 1 -2 |
| 33.58 | 37 | 0 2 0 |

(2)
For NaSmSO, a crystal structure in OQMD, relaxed with PBE gives the theoretical powder X-ray diffraction pattern in this record (Cu Kα (weighted mean of Kα1 and Kα2)).
No peak broadening, texture or thermal motion is included.

Structural model:
```
data_NaSmSO
_symmetry_space_group_name_H-M 'P 1 21/c 1'
_symmetry_Int_Tables_number 14
_cell_length_a 6.7781
_cell_length_b 7.4471
_cell_length_c 6.4296
_cell_angle_alpha 90.00
_cell_angle_beta 103.40
_cell_angle_gamma 90.00
loop_
_symmetry_equiv_pos_as_xyz
'x,y,z'
'-x,-y,-z'
'-x,y+1/2,-z+1/2'
'x,-y+1/2,z+1/2'
loop_
_atom_site_label
_atom_site_type_symbol
_atom_site_fract_x
_atom_site_fract_y
_atom_site_fract_z
Na1 Na 0.0890 0.2436 0.4945
Sm1 Sm 0.4498 0.6225 0.7616
S1 S 0.2085 0.5811 0.3298
O1 O 0.3868 0.1574 0.3870
```

Most intense lines, 2θ from 10° to 80°, in order of falling intensity:
| 2θ/deg | I_rel | (hkl) |
| --- | --- | --- |
| 13.43 | 100 | 1 0 0 |
| 29.56 | 58 | 1 2 -1 |
| 28.57 | 33 | 0 0 2 |
| 27.89 | 29 | 0 2 1 |
| 34.47 | 26 | 1 0 2 |
| 32.52 | 23 | 1 2 1 |
| 36.75 | 22 | 2 2 -1 |
| 30.06 | 20 | 2 1 -1 |
| 41.60 | 16 | 2 2 1 |
| 50.97 | 14 | 1 4 0 |

(3)
For NaSmSO, a crystal structure in OQMD, relaxed with PBE gives the theoretical powder X-ray diffraction pattern in this record (Cu Kα (weighted mean of Kα1 and Kα2)).
No peak broadening, texture or thermal motion is included.

Structural model:
```
data_NaSmSO
_symmetry_space_group_name_H-M 'C 1 2 1'
_symmetry_Int_Tables_number 5
_cell_length_a 5.6457
_cell_length_b 5.6489
_cell_length_c 10.6219
_cell_angle_alpha 90.00
_cell_angle_beta 105.03
_cell_angle_gamma 90.00
loop_
_symmetry_equiv_pos_as_xyz
'x,y,z'
'-x,y,-z'
'x+1/2,y+1/2,z'
'-x+1/2,y+1/2,-z'
loop_
_atom_site_label
_atom_site_type_symbol
_atom_site_fract_x
_atom_site_fract_y
_atom_site_fract_z
Na1 Na 0.2051 0.0000 0.4073
Sm1 Sm 0.1944 0.2584 0.8878
S1 S 0.1642 0.4984 0.3197
O1 O 0.0000 0.0086 0.0000
O2 O 0.0000 0.5089 0.0000
```

Most intense lines, 2θ from 10° to 80°, in order of falling intensity:
| 2θ/deg | I_rel | (hkl) |
| --- | --- | --- |
| 25.89 | 100 | 1 1 -2 |
| 25.78 | 97 | 1 1 1 |
| 32.88 | 81 | 2 0 0 |
| 31.33 | 77 | 1 1 -3 |
| 31.18 | 76 | 1 1 2 |
| 45.43 | 61 | 2 2 -1 |
| 22.69 | 44 | 1 1 0 |
| 52.96 | 42 | 1 3 1 |
| 56.08 | 30 | 1 3 2 |
| 34.99 | 28 | 0 0 4 |

(4)
For NaTbSO, a crystal structure in OQMD, relaxed with PBE gives the theoretical powder X-ray diffraction pattern in this record (Cu Kα (weighted mean of Kα1 and Kα2)).
No peak broadening, texture or thermal motion is included.

Structural model:
```
data_NaTbSO
_symmetry_space_group_name_H-M 'P 1 21/c 1'
_symmetry_Int_Tables_number 14
_cell_length_a 6.7803
_cell_length_b 7.2998
_cell_length_c 6.2916
_cell_angle_alpha 90.00
_cell_angle_beta 104.13
_cell_angle_gamma 90.00
loop_
_symmetry_equiv_pos_as_xyz
'x,y,z'
'-x,-y,-z'
'-x,y+1/2,-z+1/2'
'x,-y+1/2,z+1/2'
loop_
_atom_site_label
_atom_site_type_symbol
_atom_site_fract_x
_atom_site_fract_y
_atom_site_fract_z
Na1 Na 0.0891 0.2480 0.0011
Tb1 Tb 0.4563 0.6238 0.2635
S1 S 0.2145 0.5833 0.8302
O1 O 0.3834 0.1543 0.8817
```

Most intense lines, 2θ from 10° to 80°, in order of falling intensity:
| 2θ/deg | I_rel | (hkl) |
| --- | --- | --- |
| 13.47 | 100 | 1 0 0 |
| 30.02 | 46 | 1 2 -1 |
| 28.50 | 27 | 0 2 1 |
| 35.33 | 24 | 1 0 2 |
| 37.08 | 23 | 2 2 -1 |
| 33.19 | 21 | 1 2 1 |
| 29.28 | 19 | 0 0 2 |
| 42.27 | 16 | 2 2 1 |
| 30.15 | 16 | 2 1 -1 |
| 27.12 | 14 | 2 0 0 |

(5)
For NaTmSO, a crystal structure in OQMD, relaxed with PBE gives the theoretical powder X-ray diffraction pattern in this record (Cu Kα (weighted mean of Kα1 and Kα2)).
No peak broadening, texture or thermal motion is included.

Structural model:
```
data_NaTmSO
_symmetry_space_group_name_H-M 'P 1 21/c 1'
_symmetry_Int_Tables_number 14
_cell_length_a 6.7789
_cell_length_b 7.1427
_cell_length_c 6.1749
_cell_angle_alpha 90.00
_cell_angle_beta 104.41
_cell_angle_gamma 90.00
loop_
_symmetry_equiv_pos_as_xyz
'x,y,z'
'-x,-y,-z'
'-x,y+1/2,-z+1/2'
'x,-y+1/2,z+1/2'
loop_
_atom_site_label
_atom_site_type_symbol
_atom_site_fract_x
_atom_site_fract_y
_atom_site_fract_z
Na1 Na 0.0878 0.2496 0.0019
Tm1 Tm 0.4630 0.6243 0.2658
S1 S 0.2209 0.5862 0.8335
O1 O 0.3823 0.1518 0.8789
```

Most intense lines, 2θ from 10° to 80°, in order of falling intensity:
| 2θ/deg | I_rel | (hkl) |
| --- | --- | --- |
| 13.49 | 100 | 1 0 0 |
| 30.56 | 41 | 1 2 -1 |
| 29.12 | 25 | 0 2 1 |
| 37.49 | 23 | 2 2 -1 |
| 35.97 | 21 | 1 0 2 |
| 29.90 | 21 | 0 0 2 |
| 33.81 | 20 | 1 2 1 |
| 42.85 | 16 | 2 2 1 |
| 27.16 | 15 | 2 0 0 |
| 29.58 | 12 | 1 0 -2 |

(6)
For Na2Zn3Se4O12, a crystal structure in OQMD, relaxed with PBE gives the theoretical powder X-ray diffraction pattern in this record (Cu Kα (weighted mean of Kα1 and Kα2)).
No peak broadening, texture or thermal motion is included.

Structural model:
```
data_Na2Zn3Se4O12
_symmetry_space_group_name_H-M 'C 1 2/c 1'
_symmetry_Int_Tables_number 15
_cell_length_a 11.9084
_cell_length_b 6.6836
_cell_length_c 14.5151
_cell_angle_alpha 90.00
_cell_angle_beta 90.43
_cell_angle_gamma 90.00
loop_
_symmetry_equiv_pos_as_xyz
'x,y,z'
'-x,-y,-z'
'-x,y,-z+1/2'
'x,-y,z+1/2'
'x+1/2,y+1/2,z'
'-x+1/2,-y+1/2,-z'
'-x+1/2,y+1/2,-z+1/2'
'x+1/2,-y+1/2,z+1/2'
loop_
_atom_site_label
_atom_site_type_symbol
_atom_site_fract_x
_atom_site_fract_y
_atom_site_fract_z
Na1 Na 0.1261 0.1372 0.4633
Zn1 Zn 0.0000 0.2193 0.2500
Zn2 Zn 0.0053 0.3141 0.8667
Se1 Se 0.1442 0.3266 0.0680
Se2 Se 0.1901 0.1053 0.7315
O1 O 0.0269 0.3927 0.1392
O2 O 0.0722 0.2035 0.9814
O3 O 0.1031 0.0817 0.6357
O4 O 0.1297 0.3180 0.7778
O5 O 0.1354 0.0858 0.2995
O6 O 0.1759 0.4475 0.5247
```

Most intense lines, 2θ from 10° to 80°, in order of falling intensity:
| 2θ/deg | I_rel | (hkl) |
| --- | --- | --- |
| 31.28 | 100 | 2 2 -1 |
| 29.02 | 96 | 1 1 4 |
| 31.99 | 92 | 3 1 -3 |
| 32.20 | 86 | 3 1 3 |
| 28.89 | 63 | 2 0 4 |
| 34.46 | 56 | 1 1 -5 |
| 48.60 | 43 | 1 3 4 |
| 16.37 | 38 | 1 1 -1 |
| 12.20 | 31 | 0 0 2 |
| 19.51 | 30 | 1 1 -2 |